[1]
Starting from a crystal structure in the Materials Project, relaxed with GGA+U, the powder X-ray diffraction pattern of Ni2P2O7 was simulated for a wavelength of 1.5418 Å.
Lines closer than 0.1° are merged.

Atomic structure:
a = 6.4950 Å, b = 8.3382 Å, c = 4.5165 Å
α = 90.00°, β = 103.11°, γ = 90.00°
Space group C2/m (No. 12)
Unique sites:
Ni (0.0000, 0.1864, 0.0000) [4 per cell]
P (0.2197, 0.5000, 0.4073) [4 per cell]
O (0.0000, 0.5000, 0.5000) [2 per cell]
O (0.1202, 0.0000, 0.2838) [4 per cell]
O (0.2282, 0.3462, 0.2230) [8 per cell]

The 8 most intense peaks (5 to 70 degrees two-theta), sorted by position:
d 3.052, 29.26°, I = 50.6; d 3.026, 29.52°, I = 100.0; d 2.898, 30.85°, I = 69.2; d 2.545, 35.27°, I = 28.4; d 2.520, 35.63°, I = 22.9; d 2.120, 42.64°, I = 26.4; d 2.034, 44.56°, I = 38.6; d 1.594, 57.86°, I = 24.2

[2]
Starting from a crystal structure in the Materials Project, relaxed with GGA+U, the powder X-ray diffraction pattern of UVAgO6 was simulated for a wavelength of 1.5418 Å.
Lines closer than 0.1° are merged.

Atomic structure:
a = 6.1734 Å, b = 8.4058 Å, c = 10.4932 Å
α = 90.00°, β = 96.87°, γ = 90.00°
Space group P2_1/c (No. 14)
Unique sites:
U (0.0152, 0.0203, 0.3170) [4 per cell]
V (0.1314, 0.6498, 0.5409) [4 per cell]
Ag (0.4577, 0.2244, 0.1662) [4 per cell]
O (0.0445, 0.6504, 0.9919) [4 per cell]
O (0.0564, 0.0631, 0.1021) [4 per cell]
O (0.1248, 0.7102, 0.7108) [4 per cell]
O (0.2696, 0.0486, 0.7228) [4 per cell]
O (0.2995, 0.0857, 0.3518) [4 per cell]
O (0.3862, 0.6415, 0.5081) [4 per cell]

The 8 most intense peaks (5 to 70 degrees two-theta), sorted by position:
d 6.129, 14.45°, I = 63.7; d 5.209, 17.02°, I = 34.7; d 4.314, 20.59°, I = 23.5; d 3.466, 25.70°, I = 100.0; d 3.428, 26.00°, I = 32.7; d 3.210, 27.80°, I = 47.8; d 3.065, 29.14°, I = 39.2; d 2.981, 29.97°, I = 88.1

[3]
Starting from a crystal structure in the Materials Project, relaxed with GGA+U, the powder X-ray diffraction pattern of CaLaFeBiO6 was simulated for a wavelength of 1.5418 Å.
Lines closer than 0.1° are merged.

Atomic structure:
a = 5.6936 Å, b = 5.9013 Å, c = 9.9343 Å
α = 90.00°, β = 124.20°, γ = 90.00°
Space group Pc (No. 7)
Unique sites:
Ca (0.0000, 0.1944, 0.0000) [2 per cell]
La (0.5393, 0.3043, 0.5023) [2 per cell]
Fe (0.7723, 0.2481, 0.2507) [2 per cell]
Bi (0.2728, 0.2470, 0.7526) [2 per cell]
O (0.1198, 0.2019, 0.4875) [2 per cell]
O (0.4189, 0.2933, 0.0152) [2 per cell]
O (0.5480, 0.0582, 0.3112) [2 per cell]
O (0.6478, 0.4636, 0.8127) [2 per cell]
O (0.8955, 0.0335, 0.6876) [2 per cell]
O (0.9987, 0.4408, 0.1922) [2 per cell]

The 8 most intense peaks (5 to 70 degrees two-theta), sorted by position:
d 4.793, 18.51°, I = 53.5; d 4.651, 19.08°, I = 32.2; d 2.951, 30.29°, I = 44.7; d 2.915, 30.67°, I = 100.0; d 2.887, 30.97°, I = 98.0; d 2.847, 31.43°, I = 43.7; d 2.456, 36.59°, I = 32.7; d 2.049, 44.21°, I = 44.2

[4]
Starting from a crystal structure in the Materials Project, relaxed with GGA+U, the powder X-ray diffraction pattern of W11O12 was simulated for a wavelength of 1.5418 Å.
Lines closer than 0.1° are merged.

Atomic structure:
a = 6.5644 Å, b = 25.7139 Å, c = 4.3520 Å
α = 90.00°, β = 90.00°, γ = 90.00°
Space group Cmm2 (No. 35)
Unique sites:
W (0.0000, 0.0000, 0.0000) [2 per cell]
W (0.0000, 0.1360, 0.0088) [4 per cell]
W (0.0000, 0.2310, 0.3661) [4 per cell]
W (0.0000, 0.3281, 0.0631) [4 per cell]
W (0.2350, 0.4349, 0.4967) [8 per cell]
O (0.0000, 0.0000, 0.5011) [2 per cell]
O (0.0000, 0.1161, 0.5104) [4 per cell]
O (0.0000, 0.3798, 0.4562) [4 per cell]
O (0.0000, 0.5000, 0.4949) [2 per cell]
O (0.2118, 0.0656, 0.9963) [8 per cell]
O (0.2500, 0.2500, 0.5800) [4 per cell]

The 8 most intense peaks (5 to 70 degrees two-theta), sorted by position:
d 3.598, 24.74°, I = 35.6; d 3.180, 28.06°, I = 46.3; d 3.054, 29.25°, I = 100.0; d 2.620, 34.22°, I = 93.5; d 2.606, 34.42°, I = 39.7; d 2.583, 34.73°, I = 37.7; d 2.568, 34.93°, I = 38.6; d 2.296, 39.23°, I = 40.0

[5]
Starting from a crystal structure in the Materials Project, relaxed with GGA+U, the powder X-ray diffraction pattern of NaPrV4O12 was simulated for a wavelength of 1.5418 Å.
Lines closer than 0.1° are merged.

Atomic structure:
a = 5.3140 Å, b = 5.3140 Å, c = 7.5569 Å
α = 90.00°, β = 90.00°, γ = 90.00°
Space group P4/mmm (No. 123)
Unique sites:
Na (0.0000, 0.0000, 0.0000) [1 per cell]
Pr (0.5000, 0.5000, 0.5000) [1 per cell]
V (0.0000, 0.5000, 0.2438) [4 per cell]
O (0.0000, 0.5000, 0.0000) [2 per cell]
O (0.0000, 0.5000, 0.5000) [2 per cell]
O (0.2541, 0.2541, 0.2539) [8 per cell]

The 8 most intense peaks (5 to 70 degrees two-theta), sorted by position:
d 7.557, 11.71°, I = 28.2; d 5.314, 16.68°, I = 30.2; d 4.347, 20.43°, I = 72.5; d 3.365, 26.49°, I = 21.5; d 2.662, 33.67°, I = 100.0; d 2.267, 39.76°, I = 25.8; d 1.879, 48.45°, I = 38.0; d 1.535, 60.28°, I = 24.5

[6]
Starting from a crystal structure in the Materials Project, relaxed with GGA+U, the powder X-ray diffraction pattern of Li4TiV3O8 was simulated for a wavelength of 1.5418 Å.
Lines closer than 0.1° are merged.

Atomic structure:
a = 10.1273 Å, b = 5.8331 Å, c = 6.0109 Å
α = 90.00°, β = 124.33°, γ = 90.00°
Space group C2 (No. 5)
Unique sites:
Li (0.0000, 0.0000, 0.0000) [2 per cell]
Li (0.0000, 0.4986, 0.0000) [2 per cell]
Li (0.2488, 0.7550, 0.9953) [4 per cell]
Ti (0.0000, 0.4947, 0.5000) [2 per cell]
V (0.0000, 0.0003, 0.5000) [2 per cell]
V (0.2496, 0.2461, 0.5008) [4 per cell]
O (0.0038, 0.2513, 0.2633) [4 per cell]
O (0.0046, 0.7446, 0.2678) [4 per cell]
O (0.2424, 0.4973, 0.7335) [4 per cell]
O (0.2438, 0.9959, 0.7306) [4 per cell]

The 8 most intense peaks (5 to 70 degrees two-theta), sorted by position:
d 4.964, 17.87°, I = 100.0; d 2.493, 36.02°, I = 38.4; d 2.092, 43.25°, I = 87.5; d 1.926, 47.20°, I = 9.0; d 1.628, 56.53°, I = 12.8; d 1.498, 61.96°, I = 16.3; d 1.461, 63.70°, I = 15.1; d 1.400, 66.83°, I = 8.2